CaFe2O: theoretical powder diffractogram (Cu Kα, 1.54184 Å), based on a PBE+U-relaxed structure.
No peak broadening, texture or thermal motion is included.

Crystal structure
Unit cell a=6.2296 b=6.2296 c=6.2296 alpha=60.00 beta=60.00 gamma=60.00
Fractional coordinates of all 8 atoms:
Ca1 0.1250 0.1250 0.1250
Ca2 0.8750 0.8750 0.8750
Fe1 0.0000 0.5000 0.5000
Fe2 0.5000 0.0000 0.5000
Fe3 0.5000 0.5000 0.0000
Fe4 0.5000 0.5000 0.5000
O1 0.3750 0.3750 0.3750
O2 0.6250 0.6250 0.6250

Largest 12 diffraction maxima, by angle, 2θ = 10–80°:
2θ/deg  d_spacing  I_rel
17.44  5.086  51.5
28.66  3.115  47.1
33.74  2.656  100.0
35.29  2.543  69.1
40.98  2.202  8.7
44.84  2.021  12.0
50.77  1.798  15.6
54.09  1.695  32.3
59.34  1.557  44.1
62.35  1.489  7.8
70.03  1.344  10.6
70.96  1.328  22.7